# 1
# Pm8Ge5Sb
Computed X-ray diffraction stick pattern, λ = 1.5418 Å (Cu Kα). Input: the GGA-PBE geometry in Alexandria.
Peak positions follow from Bragg's law for the DFT cell and can differ from measured ones.

Cell and atoms:
```
Pm8Ge5Sb
1.0
-4.5949 4.5949 4.5586
4.5949 -4.5949 4.5586
4.5949 4.5949 -4.5586
Pm Ge Sb
8 5 1
direct
0.1195 0.3630 0.1059
0.1246 0.3729 0.6222
0.2571 0.0136 0.8941
0.4976 0.8754 0.2483
0.6271 0.2493 0.7517
0.6370 0.7429 0.7565
0.7507 0.5024 0.3778
0.9864 0.8805 0.2435
0.0025 0.6262 0.8772
0.3738 0.2510 0.3764
0.5000 0.5000 0.0000
0.7490 0.1254 0.1228
0.8746 0.9975 0.6236
0.2500 0.7500 0.5000
```

Most intense lines, 2θ from 10° to 90°, in order of rising 2θ:
d (Å)  Position (°2θ)  I_rel
2.905  30.78  100.0
2.885  30.99  52.1
2.453  36.64  69.1
2.444  36.78  23.9
1.873  48.60  16.7
1.802  50.66  18.5

# 2
# Mg5Ru3
Computed X-ray diffraction stick pattern, λ = 1.5418 Å (Cu Kα). Input: the GGA-PBE geometry in Alexandria.
Peak positions follow from Bragg's law for the DFT cell and can differ from measured ones.

Cell and atoms:
```
Mg5Ru3
1.0
0.0000 7.3514 7.3613
2.5013 0.0000 7.3613
2.5013 7.3514 0.0000
Mg Ru
10 6
direct
0.0771 0.2747 0.7253
0.2254 0.5773 0.4227
0.2501 0.7499 0.7499
0.2747 0.0771 0.9229
0.4227 0.7746 0.2254
0.5773 0.2254 0.7746
0.7253 0.9229 0.0771
0.7499 0.2501 0.2501
0.7746 0.4227 0.5773
0.9229 0.7253 0.2747
0.1691 0.8309 0.1691
0.2500 0.2500 0.2500
0.3312 0.3312 0.6688
0.6688 0.6688 0.3312
0.7500 0.7500 0.7500
0.8309 0.1691 0.8309
```

Most intense lines, 2θ from 10° to 90°, in order of rising 2θ:
d (Å)  Position (°2θ)  I_rel
3.407  26.16  53.9
3.290  27.10  43.8
2.326  38.71  32.0
2.253  40.01  100.0
1.802  50.64  28.4
1.751  52.24  23.0

# 3
# Zn3BiSb
Computed X-ray diffraction stick pattern, λ = 1.5418 Å (Cu Kα). Input: the GGA-PBE geometry in Alexandria.
Peak positions follow from Bragg's law for the DFT cell and can differ from measured ones.

Cell and atoms:
```
Zn3BiSb
1.0
3.4650 2.0005 5.6887
-3.4650 2.0005 5.6887
0.0000 -4.0010 5.6887
Zn Bi Sb
6 2 2
direct
0.0674 0.8185 0.6141
0.1141 0.3185 0.5674
0.3185 0.5674 0.1141
0.5674 0.1141 0.3185
0.6141 0.0674 0.8185
0.8185 0.6141 0.0674
0.1810 0.1810 0.1810
0.6810 0.6810 0.6810
0.4820 0.4820 0.4820
0.9820 0.9820 0.9820
```

Most intense lines, 2θ from 10° to 90°, in order of rising 2θ:
d (Å)  Position (°2θ)  I_rel
3.469  25.68  100.0
2.844  31.45  43.7
2.454  36.61  42.1
2.198  41.06  27.5
2.002  45.29  73.0
1.310  72.11  29.9

# 4
# Sm7Dy12Al
Computed X-ray diffraction stick pattern, λ = 1.5418 Å (Cu Kα). Input: the GGA-PBE geometry in Alexandria.
Peak positions follow from Bragg's law for the DFT cell and can differ from measured ones.

Cell and atoms:
```
Sm7Dy12Al
1.0
6.4451 0.0000 0.0000
-1.7304 9.1762 0.0000
-2.1362 -3.3296 10.8145
Sm Dy Al
7 12 1
direct
0.0000 0.0000 0.0000
0.3125 0.2989 0.9197
0.3567 0.5239 0.2353
0.3608 0.7983 0.5195
0.6392 0.2017 0.4805
0.6433 0.4761 0.7647
0.6875 0.7011 0.0803
0.1244 0.2218 0.3292
0.1273 0.4776 0.6420
0.1347 0.6453 0.9574
0.2078 0.1162 0.6155
0.2362 0.8700 0.2479
0.4401 0.8711 0.8397
0.5599 0.1289 0.1603
0.7638 0.1300 0.7521
0.7922 0.8838 0.3845
0.8653 0.3547 0.0426
0.8727 0.5224 0.3580
0.8756 0.7782 0.6708
0.5000 0.5000 0.5000
```

Most intense lines, 2θ from 10° to 90°, in order of rising 2θ:
d (Å)  Position (°2θ)  I_rel
3.089  28.90  31.0
2.961  30.18  36.7
2.827  31.65  100.0
2.794  32.03  20.0
2.761  32.43  44.4
2.745  32.62  24.5

# 5
# TlPClF6
Computed X-ray diffraction stick pattern, λ = 1.5418 Å (Cu Kα). Input: the GGA-PBE geometry in Alexandria.
Peak positions follow from Bragg's law for the DFT cell and can differ from measured ones.

Cell and atoms:
```
TlPClF6
1.0
4.8916 0.0000 0.0000
2.1253 4.4768 0.0000
1.2153 1.7864 6.7352
Tl P Cl F
1 1 1 6
direct
0.0000 0.0000 0.0000
0.0990 0.3053 0.4785
0.5207 0.5314 0.9632
0.0321 0.2648 0.2674
0.0647 0.9845 0.6070
0.1288 0.6332 0.3549
0.1702 0.3493 0.6879
0.4547 0.1202 0.4377
0.7430 0.4937 0.5157
```

Most intense lines, 2θ from 10° to 90°, in order of rising 2θ:
d (Å)  Position (°2θ)  I_rel
6.735  13.15  64.4
4.414  20.12  95.7
3.993  22.26  49.3
3.958  22.47  100.0
3.368  26.47  62.1
2.244  40.18  50.8

# 6
# AcPr2Cd2Ag2
Computed X-ray diffraction stick pattern, λ = 1.5418 Å (Cu Kα). Input: the GGA-PBE geometry in Alexandria.
Peak positions follow from Bragg's law for the DFT cell and can differ from measured ones.

Cell and atoms:
```
AcPr2Cd2Ag2
1.0
2.4836 1.4339 9.5180
-2.4836 1.4339 9.5180
0.0000 -2.8678 9.5180
Ac Pr Cd Ag
1 2 2 2
direct
0.0000 0.0000 0.0000
0.1274 0.1274 0.1274
0.8726 0.8726 0.8726
0.2567 0.2567 0.2567
0.7433 0.7433 0.7433
0.4064 0.4064 0.4064
0.5936 0.5936 0.5936
```

Most intense lines, 2θ from 10° to 90°, in order of rising 2θ:
d (Å)  Position (°2θ)  I_rel
2.960  30.19  70.6
2.747  32.60  73.9
2.484  36.17  100.0
1.903  47.80  29.7
1.842  49.48  22.9
1.511  61.37  46.5

# 7
# Pm6SmEr2Mg
Computed X-ray diffraction stick pattern, λ = 1.5418 Å (Cu Kα). Input: the GGA-PBE geometry in Alexandria.
Peak positions follow from Bragg's law for the DFT cell and can differ from measured ones.

Cell and atoms:
```
Pm6SmEr2Mg
1.0
5.1523 -6.8650 0.0000
5.1523 6.8650 0.0000
-1.7893 0.0000 9.3043
Pm Sm Er Mg
12 2 4 2
direct
0.0354 0.4661 0.6707
0.0649 0.8269 0.9043
0.1731 0.9351 0.5957
0.2411 0.5774 0.0746
0.4226 0.7589 0.4254
0.4661 0.0354 0.1707
0.5339 0.9646 0.8293
0.5774 0.2411 0.5746
0.7589 0.4226 0.9254
0.8269 0.0649 0.4043
0.9351 0.1731 0.0957
0.9646 0.5339 0.3293
0.4353 0.5647 0.7500
0.5647 0.4353 0.2500
0.2306 0.3008 0.4057
0.3008 0.2306 0.9057
0.6992 0.7694 0.0943
0.7694 0.6992 0.5943
0.0976 0.9024 0.2500
0.9024 0.0976 0.7500
```

Most intense lines, 2θ from 10° to 90°, in order of rising 2θ:
d (Å)  Position (°2θ)  I_rel
2.992  29.87  88.0
2.945  30.35  87.9
2.926  30.55  78.6
2.841  31.50  76.3
2.826  31.66  100.0
2.801  31.95  95.8